Simulated PXRD pattern of Cu3P4S3Br3 for a wavelength of 1.5418 Å, from a structure optimized by DFT (PBE).
Kinematic intensities with the Lorentz-polarization factor, no thermal factor.

Top 12 peaks for 15° ≤ 2θ ≤ 90°, sorted by position:
20.3 deg, rel. 85, (2 2 0)
20.8 deg, rel. 56, (4 1 0)
22.9 deg, rel. 54, (1 2 1)
24.3 deg, rel. 46, (2 2 1)
26.1 deg, rel. 50, (4 2 0)
27.3 deg, rel. 100, (1 0 2)
28.4 deg, rel. 70, (6 0 0)
29.4 deg, rel. 70, (4 2 1)
30.3 deg, rel. 60, (0 3 1)
47.3 deg, rel. 99, (3 2 3)
49.9 deg, rel. 62, (4 5 0)
51.8 deg, rel. 62, (10 2 0)

Crystal structure
```
data_Cu3P4S3Br3
_symmetry_space_group_name_H-M 'P n m a'
_symmetry_Int_Tables_number 62
_cell_length_a 18.886
_cell_length_b 9.898
_cell_length_c 6.632
_cell_angle_alpha 90.00
_cell_angle_beta 90.00
_cell_angle_gamma 90.00
loop_
_symmetry_equiv_pos_as_xyz
'x,y,z'
'-x,-y,-z'
'-x+1/2,-y,z+1/2'
'x+1/2,y,-z+1/2'
'x+1/2,-y+1/2,-z+1/2'
'-x+1/2,y+1/2,z+1/2'
'-x,y+1/2,-z'
'x,-y+1/2,z'
loop_
_atom_site_label
_atom_site_type_symbol
_atom_site_fract_x
_atom_site_fract_y
_atom_site_fract_z
Cu1 Cu 0.133 0.250 0.005
Cu2 Cu 0.183 0.018 0.511
P1 P 0.022 0.250 0.100
P2 P 0.114 0.635 0.652
P3 P 0.152 0.750 0.925
S1 S 0.008 0.585 0.715
S2 S 0.062 0.750 0.112
Br1 Br 0.152 0.250 0.639
Br2 Br 0.196 0.048 0.144
```